Structure and computed powder diffraction line list of InGa2MoO6 (a cell relaxed with PBE+U; Cu Kα X-rays).

Principal peaks in the range 15° ≤ 2θ ≤ 90°, sorted by position:
2θ 18.3, 4.849 Å, I 32.3
2θ 29.2, 3.057 Å, I 68.4
2θ 29.4, 3.041 Å, I 63.0
2θ 32.7, 2.740 Å, I 63.2
2θ 32.8, 2.730 Å, I 74.4
2θ 33.5, 2.678 Å, I 100.0
2θ 40.5, 2.229 Å, I 32.9
2θ 55.8, 1.647 Å, I 25.6
2θ 57.8, 1.596 Å, I 42.1
2θ 61.0, 1.518 Å, I 33.7

```
InGa2MoO6
1.0
4.923 -4.695 0.000
4.923 4.695 0.000
-0.964 0.000 5.481
In Ga Mo O
2 4 2 12
Cartesian
4.200 3.803 4.111
4.682 -3.803 1.370
2.389 0.842 3.832
2.871 -0.842 1.091
6.011 0.842 4.390
6.493 -0.842 1.649
4.682 2.105 1.370
4.200 -2.105 4.111
0.519 0.874 3.456
2.922 2.267 4.861
1.001 -0.874 0.716
3.192 0.693 2.129
5.478 2.267 3.361
2.710 -0.693 4.870
6.173 0.693 0.611
3.404 -2.267 2.120
5.691 -0.693 3.351
7.881 0.874 4.765
5.960 -2.267 0.620
8.363 -0.874 2.025
```